Diffraction record for DyV2GaO8. The powder XRD pattern is simulated, not measured: it uses a structure optimized by DFT (GGA+U) and a wavelength of 1.5418 Å.

Structure:
Cell: 6.8891 6.8891 6.3364 Å, 90.00 90.00 90.00°
Space group I-4m2 (No. 119)
One atom of each set of equivalent atoms:
Dy 0.0000 0.0000 0.0000 (multiplicity 2)
V 0.0000 0.0000 0.5000 (multiplicity 2)
V 0.0000 0.5000 0.7500 (multiplicity 2)
Ga 0.0000 0.5000 0.2500 (multiplicity 2)
O 0.0000 0.2008 0.3282 (multiplicity 8)
O 0.0000 0.3122 0.9298 (multiplicity 8)

Principal peaks in the range 2θ = 10–80°, by angle:
- d = 4.664 Å, 2θ = 19.0°, I = 38
- d = 3.445 Å, 2θ = 25.9°, I = 100
- d = 2.771 Å, 2θ = 32.3°, I = 13
- d = 2.656 Å, 2θ = 33.7°, I = 76
- d = 2.436 Å, 2θ = 36.9°, I = 17
- d = 2.159 Å, 2θ = 41.8°, I = 14
- d = 1.795 Å, 2θ = 50.9°, I = 61
- d = 1.722 Å, 2θ = 53.2°, I = 17
- d = 1.540 Å, 2θ = 60.1°, I = 13
- d = 1.445 Å, 2θ = 64.5°, I = 18
- d = 1.439 Å, 2θ = 64.8°, I = 13
- d = 1.243 Å, 2θ = 76.7°, I = 12